Ce2SbAs3: calculated powder diffraction line list (Cu Kα (λ = 1.5418 Å)), based on a cell relaxed with PBE.

Peak list (10 most intense, 5° ≤ 2θ ≤ 70°, by angle)
2θ = 23.9°, rel. 31.6, hkl 1 0 1
2θ = 30.6°, rel. 21.5, hkl 1 1 0
2θ = 31.8°, rel. 55.4, hkl 0 0 3
2θ = 32.4°, rel. 93.5, hkl 1 1 1
2θ = 37.4°, rel. 100.0, hkl 1 1 2
2θ = 38.7°, rel. 22.2, hkl 1 0 3
2θ = 43.8°, rel. 57.6, hkl 2 0 0
2θ = 55.1°, rel. 45.8, hkl 2 0 3
2θ = 59.8°, rel. 12.3, hkl 2 1 3
2θ = 63.6°, rel. 38.8, hkl 2 2 0

```
Ce2SbAs3
1.0
4.138 0.000 0.000
0.000 4.138 0.000
0.000 0.000 8.452
Ce Sb As
2 1 3
Direct
0.000 0.500 0.202 Ce
0.500 0.000 0.798 Ce
0.000 0.000 0.500 Sb
0.000 0.500 0.853 As
0.500 0.000 0.147 As
0.500 0.500 0.500 As
```